For AcTaCr2O6, DFT lattice parameters and positions (GGA+U) gives the computed powder X-ray diffraction pattern in this record (a wavelength of 1.5418 Å).
Peak positions follow from Bragg's law for the DFT cell and can differ from measured ones.

```
AcTaCr2O6
1.0
5.565 0.000 0.000
2.631 4.910 0.000
2.694 1.208 5.024
Ac Ta Cr O
1 1 2 6
Direct
0.000 0.000 0.000
0.477 0.476 0.568
0.269 0.292 0.170
0.795 0.765 0.653
0.099 0.427 0.873
0.205 0.815 0.417
0.449 0.647 0.837
0.534 0.230 0.370
0.623 0.098 0.843
0.857 0.536 0.392
```

Largest 10 diffraction maxima, sorted by position, 2θ = 10–90°:
d (Å)	2θ (°)	I (rel.)
4.174	21.29	59
4.126	21.54	59
3.953	22.49	52
3.116	28.65	64
2.940	30.40	52
2.887	30.97	50
2.853	31.35	53
2.778	32.22	100
2.087	43.36	22
1.634	56.29	24